The following is a calculated X-ray diffraction stick pattern of Sr2Nb2O7. It was derived from a PBE-relaxed structure, using Cu Kα (λ = 1.5418 Å).
Intensities are scaled so that the largest is 100.

The 10 most intense peaks (10° ≤ 2θ ≤ 90°), in order of falling intensity:
2θ/deg  intensity
28.8  100
31.7  82
30.7  50
26.1  42
30.3  41
45.3  39
27.2  29
40.7  26
24.8  26
45.5  25

a = 13.8177 Å, b = 13.8177 Å, c = 5.8278 Å
α = 90.00°, β = 90.00°, γ = 163.35°
Sites, in units of the cell vectors:
Sr1 0.0509 0.9491 0.5000
Sr2 0.2091 0.7909 0.0640
Sr3 0.7909 0.2091 0.5640
Sr4 0.9491 0.0509 0.0000
Nb1 0.3388 0.6612 0.0285
Nb2 0.4415 0.5585 0.4970
Nb3 0.5585 0.4415 0.9970
Nb4 0.6612 0.3388 0.5285
O1 0.0484 0.9516 0.9629
O2 0.1505 0.8495 0.4908
O3 0.2855 0.7145 0.8168
O4 0.3007 0.6993 0.2912
O5 0.3888 0.6112 0.6956
O6 0.4078 0.5922 0.1878
O7 0.4915 0.5085 0.7416
O8 0.5085 0.4915 0.2416
O9 0.5922 0.4078 0.6878
O10 0.6112 0.3888 0.1956
O11 0.6993 0.3007 0.7912
O12 0.7145 0.2855 0.3168
O13 0.8495 0.1505 0.9908
O14 0.9516 0.0484 0.4629